This entry pairs a crystal structure of LiCaAlGa2 with its theoretical PXRD pattern. Radiation: a wavelength of 1.5418 Å. Structure: a GGA-PBE-relaxed structure.
No peak broadening, texture or thermal motion is included.

Cell and atoms:
abc: 4.2254 4.2254 11.2846
angles: 90.00 90.00 90.00
Space group I-4m2 (No. 119)
One atom of each set of equivalent atoms:
Li 0.0000 0.0000 0.0000 [2 per cell]
Ca 0.0000 0.5000 0.2500 [2 per cell]
Al 0.0000 0.0000 0.5000 [2 per cell]
Ga 0.0000 0.5000 0.6383 [4 per cell]

Principal peaks in the range 10° ≤ 2θ ≤ 90°, by angle:
2θ/deg  I_rel
22.47  86
29.91  100
31.85  98
33.95  57
42.80  73
45.57  80

***

This entry pairs a crystal structure of Sb5Au with its theoretical PXRD pattern. Radiation: a wavelength of 1.5418 Å. Structure: a GGA-PBE-relaxed structure.
No peak broadening, texture or thermal motion is included.

Cell and atoms:
abc: 12.7341 4.3379 7.3621
angles: 90.00 125.13 90.00
Space group C2/m (No. 12)
One atom of each set of equivalent atoms:
Sb 0.0000 0.0000 0.0000 [2 per cell]
Sb 0.1536 0.5000 0.9595 [4 per cell]
Sb 0.1655 0.0000 0.5049 [4 per cell]
Au 0.0000 0.5000 0.5000 [2 per cell]

Principal peaks in the range 10° ≤ 2θ ≤ 90°, by angle:
2θ/deg  I_rel
29.44  100
29.68  46
41.64  20
42.29  70
42.60  18
51.96  19

***

This entry pairs a crystal structure of TlGaPdPtSe with its theoretical PXRD pattern. Radiation: a wavelength of 1.5418 Å. Structure: a GGA-PBE-relaxed structure.
No peak broadening, texture or thermal motion is included.

Cell and atoms:
abc: 5.1371 4.1168 5.3210
angles: 90.00 109.12 90.00
Space group Pm (No. 6)
One atom of each set of equivalent atoms:
Tl 0.0000 0.0000 0.0000 [1 per cell]
Ga 0.2971 0.0000 0.5817 [1 per cell]
Pd 0.7694 0.0000 0.4257 [1 per cell]
Pt 0.5936 0.5000 0.7077 [1 per cell]
Se 0.5160 0.5000 0.1535 [1 per cell]

Principal peaks in the range 10° ≤ 2θ ≤ 90°, by angle:
2θ/deg  I_rel
28.43  100
34.38  42
36.83  41
41.85  47
42.12  52
43.99  34

***

This entry pairs a crystal structure of Pm7Sm2 with its theoretical PXRD pattern. Radiation: a wavelength of 1.5418 Å. Structure: a GGA-PBE-relaxed structure.
No peak broadening, texture or thermal motion is included.

Cell and atoms:
abc: 6.3197 6.3197 8.9071
angles: 90.00 90.00 120.00
Space group P-31m (No. 162)
One atom of each set of equivalent atoms:
Pm 0.0000 0.0000 0.0000 [1 per cell]
Pm 0.0000 0.3333 0.6672 [6 per cell]
Sm 0.3333 0.6667 0.0000 [2 per cell]

Principal peaks in the range 10° ≤ 2θ ≤ 90°, by angle:
2θ/deg  I_rel
30.03  100
34.81  51
49.99  18
50.12  18
59.45  32
59.58  11

***

This entry pairs a crystal structure of In7AgHg2 with its theoretical PXRD pattern. Radiation: a wavelength of 1.5418 Å. Structure: a GGA-PBE-relaxed structure.
No peak broadening, texture or thermal motion is included.

Cell and atoms:
abc: 17.8301 6.9887 8.8734
angles: 90.00 108.69 90.00
Space group C2/c (No. 15)
One atom of each set of equivalent atoms:
In 0.0000 0.0598 0.2500 [4 per cell]
In 0.0827 0.2828 0.5833 [8 per cell]
In 0.1064 0.2225 0.0199 [8 per cell]
In 0.1816 0.4031 0.3625 [8 per cell]
Ag 0.0000 0.4785 0.2500 [4 per cell]
Hg 0.2074 0.0547 0.8305 [8 per cell]

Principal peaks in the range 10° ≤ 2θ ≤ 90°, by angle:
2θ/deg  I_rel
30.87  81
32.10  62
32.84  35
33.31  100
34.60  82
40.79  32

***

This entry pairs a crystal structure of Hf2Ni5Ge3 with its theoretical PXRD pattern. Radiation: a wavelength of 1.5418 Å. Structure: a GGA-PBE-relaxed structure.
No peak broadening, texture or thermal motion is included.

Cell and atoms:
abc: 3.9701 22.4960 6.3150
angles: 90.00 90.00 90.00
Space group Cmc2_1 (No. 36)
One atom of each set of equivalent atoms:
Hf 0.0000 0.0159 0.0000 [4 per cell]
Hf 0.0000 0.3227 0.0242 [4 per cell]
Ni 0.0000 0.1123 0.3035 [4 per cell]
Ni 0.0000 0.2038 0.8657 [4 per cell]
Ni 0.0000 0.2216 0.2739 [4 per cell]
Ni 0.0000 0.3795 0.4858 [4 per cell]
Ni 0.0000 0.4504 0.1814 [4 per cell]
Ge 0.0000 0.1071 0.7073 [4 per cell]
Ge 0.0000 0.2777 0.5795 [4 per cell]
Ge 0.0000 0.4459 0.7907 [4 per cell]

Principal peaks in the range 10° ≤ 2θ ≤ 90°, by angle:
2θ/deg  I_rel
37.23  28
38.35  100
38.77  66
42.71  51
45.71  39
60.17  17